No. 1
This entry pairs a crystal structure of Li2BSbO4 with its simulated powder diffractogram. Radiation: Cu Kα X-rays. Structure: a DFT-relaxed cell (GGA-PBE, Alexandria).

Structure:
Cell lengths 8.3768, 4.9530, 11.5439 Å; angles 90.00, 114.31, 90.00 degrees
Sites, in units of the cell vectors:
Li1 0.0944 0.1550 0.3140
Li2 0.0944 0.3450 0.8140
Li3 0.1780 0.1634 0.5939
Li4 0.1780 0.3366 0.0939
Li5 0.8220 0.6634 0.9061
Li6 0.8220 0.8366 0.4061
Li7 0.9056 0.6550 0.1860
Li8 0.9056 0.8450 0.6860
B1 0.1501 0.6701 0.4520
B2 0.1501 0.8299 0.9520
B3 0.8499 0.1701 0.0480
B4 0.8499 0.3299 0.5480
Sb1 0.4701 0.5492 0.6322
Sb2 0.4701 0.9508 0.1322
Sb3 0.5299 0.0492 0.8678
Sb4 0.5299 0.4508 0.3678
O1 0.0209 0.6940 0.8576
O2 0.0209 0.8060 0.3576
O3 0.1888 0.1014 0.9584
O4 0.1888 0.3986 0.4584
O5 0.2712 0.6824 0.0607
O6 0.2712 0.8176 0.5607
O7 0.3807 0.1585 0.2427
O8 0.3807 0.3415 0.7427
O9 0.6193 0.6585 0.2573
O10 0.6193 0.8415 0.7573
O11 0.7288 0.1824 0.4393
O12 0.7288 0.3176 0.9393
O13 0.8112 0.6014 0.5416
O14 0.8112 0.8986 0.0416
O15 0.9791 0.1940 0.6424
O16 0.9791 0.3060 0.1424

Largest 10 diffraction maxima, in order of rising 2θ, 5 to 70 degrees two-theta:
- 11.6°, d = 7.634 Å, I = 100
- 19.8°, d = 4.481 Å, I = 45
- 22.5°, d = 3.960 Å, I = 29
- 23.3°, d = 3.817 Å, I = 21
- 24.1°, d = 3.687 Å, I = 21
- 24.7°, d = 3.600 Å, I = 35
- 29.4°, d = 3.036 Å, I = 20
- 32.2°, d = 2.782 Å, I = 25
- 33.4°, d = 2.683 Å, I = 20
- 37.1°, d = 2.426 Å, I = 21

---

No. 2
This entry pairs a crystal structure of K6InBr8 with its simulated powder diffractogram. Radiation: Cu Kα X-rays. Structure: a DFT-relaxed cell (GGA-PBE, Alexandria).

Structure:
Cell lengths 9.6432, 9.6432, 7.0429 Å; angles 90.00, 90.00, 120.00 degrees
Sites, in units of the cell vectors:
K1 0.0000 0.3759 0.2156
K2 0.0000 0.6241 0.7844
K3 0.3759 0.0000 0.2156
K4 0.3759 0.3759 0.7844
K5 0.6241 0.0000 0.7844
K6 0.6241 0.6241 0.2156
In1 0.0000 0.0000 0.5000
Br1 0.0000 0.2685 0.7113
Br2 0.0000 0.7315 0.2887
Br3 0.2685 0.0000 0.7113
Br4 0.2685 0.2685 0.2887
Br5 0.3333 0.6667 0.0000
Br6 0.6667 0.3333 0.0000
Br7 0.7315 0.0000 0.2887
Br8 0.7315 0.7315 0.7113

Largest 10 diffraction maxima, in order of rising 2θ, 5 to 70 degrees two-theta:
- 10.6°, d = 8.351 Å, I = 26
- 16.5°, d = 5.384 Å, I = 73
- 22.3°, d = 3.979 Å, I = 19
- 31.0°, d = 2.880 Å, I = 84
- 31.5°, d = 2.844 Å, I = 100
- 32.2°, d = 2.784 Å, I = 71
- 41.0°, d = 2.200 Å, I = 25
- 45.6°, d = 1.989 Å, I = 25
- 48.3°, d = 1.884 Å, I = 24
- 49.3°, d = 1.849 Å, I = 20

---

No. 3
This entry pairs a crystal structure of Ca2Be2SnN4 with its simulated powder diffractogram. Radiation: Cu Kα X-rays. Structure: a DFT-relaxed cell (GGA-PBE, Alexandria).

Structure:
Cell lengths 6.1412, 6.1412, 5.8465 Å; angles 110.45, 110.45, 29.54 degrees
Sites, in units of the cell vectors:
Ca1 0.1332 0.1332 0.0585
Ca2 0.8668 0.8668 0.9415
Be1 0.3176 0.3176 0.5102
Be2 0.6824 0.6824 0.4898
Sn1 0.0000 0.0000 0.5000
N1 0.2112 0.2112 0.6666
N2 0.4683 0.4683 0.7291
N3 0.5317 0.5317 0.2709
N4 0.7888 0.7888 0.3334

Largest 10 diffraction maxima, in order of rising 2θ, 5 to 70 degrees two-theta:
- 16.0°, d = 5.537 Å, I = 98
- 16.3°, d = 5.452 Å, I = 49
- 26.8°, d = 3.330 Å, I = 56
- 29.7°, d = 3.013 Å, I = 100
- 30.5°, d = 2.933 Å, I = 62
- 30.9°, d = 2.895 Å, I = 49
- 37.4°, d = 2.403 Å, I = 63
- 42.5°, d = 2.128 Å, I = 97
- 44.9°, d = 2.021 Å, I = 58
- 48.1°, d = 1.891 Å, I = 51

---

No. 4
This entry pairs a crystal structure of Pr2AgTe4 with its simulated powder diffractogram. Radiation: Cu Kα X-rays. Structure: a DFT-relaxed cell (GGA-PBE, Alexandria).

Structure:
Cell lengths 7.9183, 6.3310, 9.0361 Å; angles 90.00, 106.30, 90.00 degrees
Sites, in units of the cell vectors:
Pr1 0.2221 0.2500 0.4283
Pr2 0.2543 0.2500 0.9389
Pr3 0.7457 0.7500 0.0611
Pr4 0.7779 0.7500 0.5717
Ag1 0.2183 0.7500 0.6764
Ag2 0.7817 0.2500 0.3236
Te1 0.0644 0.7500 0.3686
Te2 0.0741 0.7500 0.9148
Te3 0.4779 0.5083 0.2501
Te4 0.4779 0.9917 0.2501
Te5 0.5221 0.0083 0.7499
Te6 0.5221 0.4917 0.7499
Te7 0.9259 0.2500 0.0852
Te8 0.9356 0.2500 0.6314

Largest 10 diffraction maxima, in order of rising 2θ, 5 to 70 degrees two-theta:
- 26.4°, d = 3.380 Å, I = 72
- 26.5°, d = 3.364 Å, I = 71
- 30.0°, d = 2.982 Å, I = 68
- 30.1°, d = 2.971 Å, I = 73
- 30.6°, d = 2.922 Å, I = 100
- 35.1°, d = 2.556 Å, I = 92
- 37.0°, d = 2.432 Å, I = 48
- 38.3°, d = 2.350 Å, I = 76
- 39.9°, d = 2.259 Å, I = 67
- 51.1°, d = 1.789 Å, I = 52

---

No. 5
This entry pairs a crystal structure of YHfFe10 with its simulated powder diffractogram. Radiation: Cu Kα X-rays. Structure: a DFT-relaxed cell (GGA-PBE, Alexandria).

Structure:
Cell lengths 3.9518, 4.9181, 8.4903 Å; angles 90.00, 90.00, 90.00 degrees
Sites, in units of the cell vectors:
Y1 0.0000 0.0000 0.0000
Hf1 0.0000 0.5000 0.5000
Fe1 0.0000 0.0000 0.3395
Fe2 0.0000 0.0000 0.6605
Fe3 0.0000 0.5000 0.1736
Fe4 0.0000 0.5000 0.8264
Fe5 0.5000 0.0000 0.5000
Fe6 0.5000 0.2534 0.2567
Fe7 0.5000 0.2534 0.7433
Fe8 0.5000 0.5000 0.0000
Fe9 0.5000 0.7466 0.2567
Fe10 0.5000 0.7466 0.7433

Largest 10 diffraction maxima, in order of rising 2θ, 5 to 70 degrees two-theta:
- 10.4°, d = 8.490 Å, I = 14
- 30.9°, d = 2.895 Å, I = 48
- 36.6°, d = 2.455 Å, I = 31
- 42.5°, d = 2.128 Å, I = 23
- 42.6°, d = 2.123 Å, I = 12
- 43.4°, d = 2.085 Å, I = 100
- 45.9°, d = 1.976 Å, I = 27
- 60.1°, d = 1.539 Å, I = 14
- 62.4°, d = 1.488 Å, I = 8
- 64.4°, d = 1.447 Å, I = 19

---

No. 6
This entry pairs a crystal structure of SrCaGdNbO6 with its simulated powder diffractogram. Radiation: Cu Kα X-rays. Structure: a DFT-relaxed cell (GGA-PBE, Alexandria).

Structure:
Cell lengths 5.9868, 5.9868, 5.9868 Å; angles 60.00, 60.00, 60.00 degrees
Sites, in units of the cell vectors:
Sr1 0.0000 0.0000 0.0000
Ca1 0.5000 0.5000 0.5000
Gd1 0.7500 0.7500 0.7500
Nb1 0.2500 0.2500 0.2500
O1 0.0135 0.0135 0.4865
O2 0.0135 0.4865 0.0135
O3 0.0135 0.4865 0.4865
O4 0.4865 0.0135 0.0135
O5 0.4865 0.0135 0.4865
O6 0.4865 0.4865 0.0135

Largest 10 diffraction maxima, in order of rising 2θ, 5 to 70 degrees two-theta:
- 18.1°, d = 4.888 Å, I = 8
- 21.0°, d = 4.233 Å, I = 24
- 29.8°, d = 2.993 Å, I = 100
- 35.2°, d = 2.553 Å, I = 6
- 42.7°, d = 2.117 Å, I = 34
- 46.8°, d = 1.942 Å, I = 4
- 48.1°, d = 1.893 Å, I = 10
- 53.0°, d = 1.728 Å, I = 40
- 62.0°, d = 1.497 Å, I = 21
- 66.2°, d = 1.411 Å, I = 4